Computed powder X-ray diffraction pattern
Compound: Hf6N2O
Radiation: Cu Kα (λ = 1.5418 Å)
Structure: a DFT-relaxed cell (PBE, Alexandria)
Intensities are scaled so that the largest is 100.

Peak list (10 most intense, 10° ≤ 2θ ≤ 90°, most intense first)
- hkl 2 -1 1, 2.454 Å, I = 100
- hkl 0 0 2, 2.568 Å, I = 23
- hkl 3 0 2, 1.366 Å, I = 20
- hkl 2 -1 3, 1.460 Å, I = 20
- hkl 3 0 0, 1.613 Å, I = 20
- hkl 1 1 0, 2.794 Å, I = 20
- hkl 1 1 2, 1.891 Å, I = 18
- hkl 2 2 1, 1.348 Å, I = 15
- hkl 4 -2 2, 1.227 Å, I = 4
- hkl 0 0 4, 1.284 Å, I = 3

Structure:
Unit cell a=5.5881 b=5.5881 c=5.1370 alpha=90.00 beta=90.00 gamma=120.00
Space group P-31m (No. 162)
Unique sites:
Hf (0.0000, 0.3362, 0.2546) [6 per cell]
N (0.3333, 0.6667, 0.5000) [2 per cell]
O (0.0000, 0.0000, 0.0000) [1 per cell]